This entry pairs a crystal structure of Ca3Co2Si4O14 with its calculated PXRD pattern. Radiation: Cu Ka. Structure: a structure optimized by DFT (PBE+U).
Kinematic intensities with the Lorentz-polarization factor, no thermal factor.

Most intense lines, 10 to 80 degrees two-theta, sorted by position:
2θ/deg	I/Imax	index
11.24	62.9	1 1 0
17.24	100.0	0 0 1
23.90	43.7	2 0 1
28.19	51.1	2 2 -1
28.93	63.3	2 2 1
30.11	62.6	3 1 -1
30.76	56.2	1 3 -1
31.12	95.3	1 3 1
35.90	48.5	4 2 0
37.01	42.2	0 4 1

Crystal structure
Unit cell a=11.234 b=11.033 c=5.146 alpha=90.00 beta=92.14 gamma=90.00
Space group Cm (No. 8)
Unique sites:
Ca 0.000 0.000 0.000 [2 per cell]
Ca 0.147 0.333 0.991 [4 per cell]
Co 0.397 0.251 0.499 [4 per cell]
Si 0.023 0.500 0.467 [2 per cell]
Si 0.143 0.142 0.537 [4 per cell]
Si 0.298 0.500 0.433 [2 per cell]
O 0.029 0.194 0.706 [4 per cell]
O 0.050 0.500 0.775 [2 per cell]
O 0.123 0.153 0.229 [4 per cell]
O 0.153 0.000 0.645 [2 per cell]
O 0.156 0.500 0.316 [2 per cell]
O 0.256 0.220 0.665 [4 per cell]
O 0.317 0.500 0.742 [2 per cell]
O 0.351 0.381 0.277 [4 per cell]
O 0.461 0.121 0.336 [4 per cell]